Starting from a cell relaxed with PBE, the PXRD pattern of Pr7Er3Tm2 was simulated for Cu Kα X-rays.

```
Pr7Er3Tm2
1.0
6.3584 0.0000 0.0000
0.0000 5.5409 0.0000
-0.0301 0.0000 12.2516
Pr Er Tm
7 3 2
direct
0.0000 0.0000 0.0000
0.0935 0.5000 0.8269
0.2478 0.5000 0.5446
0.4434 0.0000 0.8125
0.5566 0.0000 0.1875
0.7522 0.5000 0.4554
0.9065 0.5000 0.1731
0.0709 0.0000 0.3444
0.5000 0.5000 0.0000
0.9291 0.0000 0.6556
0.3775 0.5000 0.2742
0.6225 0.5000 0.7258
```

Top 10 peaks for 2θ from 10° to 90°, by angle:
d (Å), Rel. int.
3.449, 9.9
3.076, 13.6
2.922, 100.0
2.770, 44.2
2.757, 29.4
2.689, 51.2
1.954, 17.0
1.627, 17.7
1.583, 11.9
1.538, 10.5

---

Starting from a cell relaxed with PBE, the PXRD pattern of PrEr3Tm3 was simulated for Cu Kα X-rays.

```
PrEr3Tm3
1.0
4.2724 2.4667 7.2204
-4.2724 2.4667 7.2204
0.0000 -4.9334 7.2204
Pr Er Tm
2 6 6
direct
0.1502 0.1502 0.1502
0.8498 0.8498 0.8498
0.0707 0.5629 0.2298
0.2298 0.0707 0.5629
0.4371 0.7702 0.9293
0.5629 0.2297 0.0707
0.7703 0.9293 0.4371
0.9293 0.4371 0.7703
0.2153 0.6718 0.4348
0.3282 0.5652 0.7847
0.4348 0.2153 0.6718
0.5652 0.7847 0.3282
0.6718 0.4348 0.2153
0.7847 0.3282 0.5652
```

Top 10 peaks for 2θ from 10° to 90°, by angle:
d (Å), Rel. int.
3.677, 21.9
3.055, 28.1
2.855, 35.8
2.774, 100.0
2.758, 79.3
2.708, 52.4
2.350, 23.2
1.711, 18.9
1.615, 19.4
1.588, 16.1

---

Starting from a cell relaxed with PBE, the PXRD pattern of Pr4Er3Tm8 was simulated for Cu Kα X-rays.

```
Pr4Er3Tm8
1.0
3.4568 1.9958 11.7782
-3.4568 1.9958 11.7782
0.0000 -3.9916 11.7782
Pr Er Tm
4 3 8
direct
0.0000 0.0000 0.0000
0.1635 0.1635 0.1635
0.5000 0.5000 0.5000
0.8365 0.8365 0.8365
0.0000 0.5000 0.5000
0.5000 0.0000 0.5000
0.5000 0.5000 0.0000
0.2495 0.2495 0.7463
0.2495 0.7463 0.2495
0.2537 0.7505 0.7505
0.2559 0.2559 0.2559
0.7441 0.7441 0.7441
0.7463 0.2495 0.2495
0.7505 0.2537 0.7505
0.7505 0.7505 0.2537
```

Top 10 peaks for 2θ from 10° to 90°, by angle:
d (Å), Rel. int.
3.317, 14.0
2.982, 21.5
2.946, 67.6
2.835, 100.0
2.478, 72.6
1.777, 26.7
1.728, 35.4
1.522, 16.6
1.491, 43.7
1.121, 15.2

---

Starting from a cell relaxed with PBE, the PXRD pattern of Pr6Er2Tm was simulated for Cu Kα X-rays.

```
Pr6Er2Tm
1.0
4.7312 -8.8902 0.0000
4.7312 8.8902 0.0000
0.0000 0.0000 3.6805
Pr Er Tm
6 2 1
direct
0.0091 0.3408 0.0000
0.1852 0.1852 0.5000
0.3408 0.0091 0.0000
0.6592 0.9909 0.0000
0.8148 0.8148 0.5000
0.9909 0.6592 0.0000
0.3260 0.6740 0.5000
0.6740 0.3260 0.5000
0.5000 0.5000 0.0000
```

Top 10 peaks for 2θ from 10° to 90°, by angle:
d (Å), Rel. int.
3.106, 35.7
2.967, 100.0
2.761, 35.5
2.432, 20.1
2.360, 20.2
1.765, 11.1
1.712, 11.8
1.619, 18.5
1.583, 9.8
1.563, 11.1

---

Starting from a cell relaxed with PBE, the PXRD pattern of PrEr3Tm7 was simulated for Cu Kα X-rays.

```
PrEr3Tm7
1.0
6.8624 0.0000 0.0000
0.0000 5.4660 0.0000
-3.1919 0.0000 9.2660
Pr Er Tm
1 3 7
direct
0.0000 0.0000 0.0000
0.2750 0.5000 0.4930
0.5000 0.0000 0.0000
0.7250 0.5000 0.5070
0.0000 0.0000 0.5000
0.1517 0.5000 0.7897
0.3246 0.5000 0.1431
0.4322 0.0000 0.3326
0.5678 0.0000 0.6674
0.6754 0.5000 0.8569
0.8483 0.5000 0.2103
```

Top 10 peaks for 2θ from 10° to 90°, by angle:
d (Å), Rel. int.
2.823, 25.9
2.790, 100.0
2.778, 39.0
2.755, 59.5
2.733, 71.3
2.723, 22.9
2.689, 73.9
2.490, 17.5
1.588, 22.2
1.453, 18.3

---

Starting from a cell relaxed with PBE, the PXRD pattern of PrEr7Tm3 was simulated for Cu Kα X-rays.

```
PrEr7Tm3
1.0
6.2276 -5.5478 0.0000
6.2276 5.5478 0.0000
-2.6322 0.0000 5.0930
Pr Er Tm
1 7 3
direct
0.0000 0.0000 0.0000
0.0000 0.0000 0.5000
0.0988 0.4881 0.7936
0.2937 0.2937 0.2944
0.4881 0.0988 0.7936
0.5119 0.9012 0.2064
0.7063 0.7063 0.7056
0.9012 0.5119 0.2064
0.2957 0.7043 0.5000
0.5000 0.5000 0.0000
0.7043 0.2957 0.5000
```

Top 10 peaks for 2θ from 10° to 90°, by angle:
d (Å), Rel. int.
3.504, 15.9
3.105, 11.1
2.866, 37.0
2.769, 28.3
2.709, 100.0
2.219, 9.2
1.993, 15.6
1.623, 21.7
1.473, 8.0
1.469, 9.0

---

Starting from a cell relaxed with PBE, the PXRD pattern of Pr4Er3Tm4 was simulated for Cu Kα X-rays.

```
Pr4Er3Tm4
1.0
3.5157 0.0000 0.0000
0.0005 5.6595 0.0000
1.7574 2.8280 17.8060
Pr Er Tm
4 3 4
direct
0.0910 0.0907 0.3190
0.2312 0.7314 0.0374
0.7688 0.2686 0.9626
0.9090 0.9093 0.6810
0.3640 0.3644 0.7707
0.5000 0.0000 0.5000
0.6360 0.6356 0.2293
0.0456 0.5452 0.4099
0.1810 0.1805 0.1390
0.8190 0.8195 0.8610
0.9544 0.4548 0.5901
```

Top 10 peaks for 2θ from 10° to 90°, by angle:
d (Å), Rel. int.
2.892, 28.4
2.831, 100.0
2.810, 72.2
2.023, 20.5
1.968, 12.3
1.634, 12.4
1.630, 14.3
1.615, 13.2
1.493, 10.9
1.490, 21.2

---

Starting from a cell relaxed with PBE, the PXRD pattern of PrEr7Tm12 was simulated for Cu Kα X-rays.

```
PrEr7Tm12
1.0
5.9406 3.4298 5.1983
-5.9406 3.4298 5.1983
0.0000 -6.8596 5.1983
Pr Er Tm
1 7 12
direct
0.0000 0.0000 0.0000
0.0018 0.3685 0.8776
0.1224 0.9982 0.6315
0.3685 0.8776 0.0018
0.5000 0.5000 0.5000
0.6315 0.1224 0.9982
0.8776 0.0018 0.3685
0.9982 0.6315 0.1224
0.1066 0.3463 0.4344
0.2348 0.7626 0.3554
0.2374 0.6446 0.7652
0.3463 0.4344 0.1066
0.3554 0.2348 0.7626
0.4344 0.1066 0.3463
0.5656 0.8934 0.6537
0.6446 0.7652 0.2374
0.6537 0.5656 0.8934
0.7626 0.3554 0.2348
0.7652 0.2374 0.6446
0.8934 0.6537 0.5656
```

Top 10 peaks for 2θ from 10° to 90°, by angle:
d (Å), Rel. int.
2.985, 28.9
2.863, 31.9
2.807, 100.0
2.753, 49.7
2.680, 50.6
2.667, 24.7
2.381, 12.9
1.742, 16.6
1.699, 14.5
1.648, 20.9

---

Starting from a cell relaxed with PBE, the PXRD pattern of Pr3Er3Tm2 was simulated for Cu Kα X-rays.

```
Pr3Er3Tm2
1.0
5.0438 0.0000 0.0000
0.0000 5.0802 0.0000
0.0000 0.0000 20.2736
Pr Er Tm
6 6 4
direct
0.0000 0.0000 0.0000
0.0000 0.5000 0.1258
0.0000 0.5000 0.8742
0.5000 0.0000 0.3742
0.5000 0.0000 0.6258
0.5000 0.5000 0.5000
0.0000 0.0000 0.5000
0.0000 0.5000 0.3726
0.0000 0.5000 0.6274
0.5000 0.0000 0.1274
0.5000 0.0000 0.8726
0.5000 0.5000 0.0000
0.0000 0.0000 0.2493
0.0000 0.0000 0.7507
0.5000 0.5000 0.2507
0.5000 0.5000 0.7493
```

Top 10 peaks for 2θ from 10° to 90°, by angle:
d (Å), Rel. int.
2.924, 100.0
2.537, 33.9
2.522, 16.7
1.794, 12.1
1.789, 24.0
1.530, 14.5
1.528, 14.2
1.522, 14.2
1.462, 12.4
1.161, 11.8

---

Starting from a cell relaxed with PBE, the PXRD pattern of Pr5Er5Tm was simulated for Cu Kα X-rays.

```
Pr5Er5Tm
1.0
-2.9964 3.5335 8.8111
2.9964 -3.5335 8.8111
2.9964 3.5335 -8.8111
Pr Er Tm
5 5 1
direct
0.0000 0.0000 0.0000
0.0685 0.3246 0.7439
0.4194 0.6754 0.7439
0.5806 0.3246 0.2561
0.9315 0.6754 0.2561
0.1684 0.1684 0.0000
0.3792 0.8792 0.5000
0.5000 0.5000 0.0000
0.6208 0.1208 0.5000
0.8316 0.8316 0.0000
0.0000 0.5000 0.5000
```

Top 10 peaks for 2θ from 10° to 90°, by angle:
d (Å), Rel. int.
3.280, 21.5
3.154, 16.4
3.038, 18.9
2.997, 74.4
2.937, 31.1
2.703, 100.0
2.212, 14.6
2.097, 24.1
1.667, 23.7
1.522, 15.3

---

Starting from a cell relaxed with PBE, the PXRD pattern of Pr4Er3Tm5 was simulated for Cu Kα X-rays.

```
Pr4Er3Tm5
1.0
8.0347 -2.9597 0.0000
8.0347 2.9597 0.0000
-4.3402 0.0000 8.3669
Pr Er Tm
4 3 5
direct
0.0875 0.0875 0.4515
0.2173 0.2173 0.8855
0.7827 0.7827 0.1145
0.9125 0.9125 0.5485
0.2172 0.2172 0.2442
0.5000 0.5000 0.0000
0.7828 0.7828 0.7558
0.0000 0.0000 0.0000
0.3313 0.3313 0.6248
0.4323 0.4323 0.2954
0.5677 0.5677 0.7046
0.6687 0.6687 0.3752
```

Top 10 peaks for 2θ from 10° to 90°, by angle:
d (Å), Rel. int.
3.132, 18.5
3.048, 21.6
3.012, 18.1
2.959, 100.0
2.842, 38.0
2.805, 50.3
2.757, 84.3
2.683, 58.5
2.050, 31.5
1.667, 18.9

---

Starting from a cell relaxed with PBE, the PXRD pattern of Pr15Er4Tm was simulated for Cu Kα X-rays.

```
Pr15Er4Tm
1.0
5.1832 0.0000 0.0000
0.0000 5.1832 0.0000
0.0000 0.0000 25.7957
Pr Er Tm
15 4 1
direct
0.0000 0.0000 0.0000
0.0000 0.0000 0.2000
0.0000 0.0000 0.4000
0.0000 0.0000 0.6000
0.0000 0.0000 0.8000
0.0000 0.5000 0.0999
0.0000 0.5000 0.3000
0.0000 0.5000 0.5000
0.0000 0.5000 0.7000
0.0000 0.5000 0.9001
0.5000 0.0000 0.0999
0.5000 0.0000 0.3000
0.5000 0.0000 0.5000
0.5000 0.0000 0.7000
0.5000 0.0000 0.9001
0.5000 0.5000 0.2000
0.5000 0.5000 0.4001
0.5000 0.5000 0.5999
0.5000 0.5000 0.8000
0.5000 0.5000 0.0000
```

Top 10 peaks for 2θ from 10° to 90°, by angle:
d (Å), Rel. int.
2.988, 100.0
2.592, 34.0
2.580, 16.8
1.833, 12.2
1.828, 24.2
1.562, 29.0
1.557, 14.3
1.494, 12.5
1.186, 11.7
1.158, 11.0